Diffraction record for ErTh5In4. The X-ray diffraction stick pattern is computed, not measured: it uses a DFT-relaxed cell (GGA-PBE, Alexandria) and λ = 1.5418 Å (Cu Kα).
No peak broadening, texture or thermal motion is included.

Main lines, most intense first (2θ from 15° to 90°):
2theta	I/Imax	hkl
31.3	100	3 0 1
28.6	51	0 3 1
33.4	44	2 3 1
36.4	37	0 0 2
35.8	30	1 4 1
33.9	28	3 3 0
34.2	21	2 4 0
55.8	21	3 6 1

Structural model:
```
data_ErTh5In4
_cell_length_a 10.510
_cell_length_b 12.115
_cell_length_c 4.935
_cell_angle_alpha 90.00
_cell_angle_beta 90.00
_cell_angle_gamma 90.00
_space_group_name_H-M_alt 'P m m n'
_space_group_IT_number 59
loop_
_space_group_symop_operation_xyz
'x,y,z'
'-x,-y,-z'
'-x+1/2,-y+1/2,z'
'x+1/2,y+1/2,-z'
'x+1/2,-y,-z'
'-x+1/2,y,z'
'-x,y+1/2,-z'
'x,-y+1/2,z'
loop_
_atom_site_label
_atom_site_type_symbol
_atom_site_fract_x
_atom_site_fract_y
_atom_site_fract_z
_atom_site_occupancy
Er1 Er 0.250 0.250 0.248 1
Th1 Th 0.068 0.087 0.749 1
Th2 Th 0.250 0.750 0.252 1
In1 In 0.047 0.750 0.751 1
In2 In 0.250 0.003 0.249 1
```

=====

Diffraction record for Ho2SiB2Ir5. The X-ray diffraction stick pattern is computed, not measured: it uses a DFT-relaxed cell (GGA-PBE, Alexandria) and λ = 1.5418 Å (Cu Kα).
No peak broadening, texture or thermal motion is included.

Main lines, most intense first (2θ from 15° to 90°):
2theta	I/Imax	hkl
39.5	100	4 1 0
41.3	92	3 1 1
35.1	88	2 1 1
44.7	46	3 2 1
27.7	35	0 0 1
71.7	35	4 1 2
43.0	30	4 2 0
57.2	30	0 0 2

Structural model:
```
data_Ho2SiB2Ir5
_cell_length_a 9.410
_cell_length_b 9.410
_cell_length_c 3.222
_cell_angle_alpha 90.00
_cell_angle_beta 90.00
_cell_angle_gamma 90.00
_space_group_name_H-M_alt 'P 4/m b m'
_space_group_IT_number 127
_space_group_name_Hall '-P 4 2ab'
loop_
_atom_site_label
_atom_site_type_symbol
_atom_site_fract_x
_atom_site_fract_y
_atom_site_fract_z
_atom_site_occupancy
Ho1 Ho 0.176 0.324 0.000 1
Si1 Si 0.000 0.000 0.000 1
B1 B 0.122 0.622 0.000 1
Ir1 Ir 0.000 0.500 0.500 1
Ir2 Ir 0.068 0.785 0.500 1
```

=====

Diffraction record for TbSm5Sc4. The X-ray diffraction stick pattern is computed, not measured: it uses a DFT-relaxed cell (GGA-PBE, Alexandria) and λ = 1.5418 Å (Cu Kα).
No peak broadening, texture or thermal motion is included.

Main lines, most intense first (2θ from 15° to 90°):
2theta	I/Imax	hkl
28.5	100	3 1 0
34.1	93	2 0 2
35.8	78	3 2 1
24.7	69	1 2 1
30.7	64	3 0 1
41.0	61	1 3 2
25.4	51	2 2 0
31.5	45	1 1 2

Structural model:
```
data_TbSm5Sc4
_cell_length_a 9.901
_cell_length_b 9.901
_cell_length_c 6.205
_cell_angle_alpha 90.00
_cell_angle_beta 90.00
_cell_angle_gamma 90.00
_space_group_name_H-M_alt 'I 4'
_space_group_IT_number 79
loop_
_space_group_symop_operation_xyz
'x,y,z'
'-y,x,z'
'-x,-y,z'
'y,-x,z'
'x+1/2,y+1/2,z+1/2'
'-y+1/2,x+1/2,z+1/2'
'-x+1/2,-y+1/2,z+1/2'
'y+1/2,-x+1/2,z+1/2'
loop_
_atom_site_label
_atom_site_type_symbol
_atom_site_fract_x
_atom_site_fract_y
_atom_site_fract_z
_atom_site_occupancy
Tb1 Tb 0.000 0.000 0.000 1
Sm1 Sm 0.000 0.000 0.459 1
Sm2 Sm 0.149 0.752 0.729 1
Sc1 Sc 0.057 0.641 0.228 1
```

=====

Diffraction record for Sm7Er3Th. The X-ray diffraction stick pattern is computed, not measured: it uses a DFT-relaxed cell (GGA-PBE, Alexandria) and λ = 1.5418 Å (Cu Kα).
No peak broadening, texture or thermal motion is included.

Main lines, most intense first (2θ from 15° to 90°):
2theta	I/Imax	hkl
30.7	100	0 2 1
35.7	67	2 0 2
31.0	32	0 0 3
61.0	28	2 2 3
51.1	24	2 2 0
51.6	24	0 2 4
60.8	14	4 0 1
61.4	14	2 0 5

Structural model:
```
data_Sm7Er3Th
_cell_length_a 7.1489
_cell_length_b 7.1489
_cell_length_c 8.6481
_cell_angle_alpha 90.00
_cell_angle_beta 90.00
_cell_angle_gamma 120.00
_space_group_name_H-M_alt 'P 3 m 1'
_space_group_IT_number 156
loop_
_space_group_symop_operation_xyz
'x,y,z'
'-y,x-y,z'
'-x+y,-x,z'
'-y,-x,z'
'-x+y,y,z'
'x,x-y,z'
loop_
_atom_site_label
_atom_site_type_symbol
_atom_site_fract_x
_atom_site_fract_y
_atom_site_fract_z
_atom_site_occupancy
Sm1 Sm 0.0000 0.0000 0.0000 1
Sm2 Sm 0.1655 0.3309 0.3385 1
Sm3 Sm 0.5032 0.0063 0.0017 1
Er1 Er 0.3376 0.1688 0.6649 1
Th1 Th 0.6667 0.3333 0.3357 1
```

=====

Diffraction record for MoPS3. The X-ray diffraction stick pattern is computed, not measured: it uses a DFT-relaxed cell (GGA-PBE, Alexandria) and λ = 1.5418 Å (Cu Kα).
No peak broadening, texture or thermal motion is included.

Main lines, most intense first (2θ from 15° to 90°):
2theta	I/Imax	hkl
18.2	100	2 0 1
39.4	86	3 1 1
16.1	79	1 0 2
35.8	58	1 0 5
44.0	53	2 1 4
34.3	31	2 1 1
52.5	31	1 1 6
16.8	30	2 0 0

Structural model:
```
data_MoPS3
_cell_length_a 10.555
_cell_length_b 3.100
_cell_length_c 12.902
_cell_angle_alpha 90.00
_cell_angle_beta 90.00
_cell_angle_gamma 90.00
_space_group_name_H-M_alt 'P n m a'
_space_group_IT_number 62
loop_
_space_group_symop_operation_xyz
'x,y,z'
'-x,-y,-z'
'-x+1/2,-y,z+1/2'
'x+1/2,y,-z+1/2'
'x+1/2,-y+1/2,-z+1/2'
'-x+1/2,y+1/2,z+1/2'
'-x,y+1/2,-z'
'x,-y+1/2,z'
loop_
_atom_site_label
_atom_site_type_symbol
_atom_site_fract_x
_atom_site_fract_y
_atom_site_fract_z
_atom_site_occupancy
Mo1 Mo 0.093 0.250 0.121 1
P1 P 0.137 0.750 0.279 1
S1 S 0.012 0.750 0.701 1
S2 S 0.079 0.250 0.922 1
S3 S 0.249 0.250 0.562 1
```

=====

Diffraction record for K2Pr2GeO6. The X-ray diffraction stick pattern is computed, not measured: it uses a DFT-relaxed cell (GGA-PBE, Alexandria) and λ = 1.5418 Å (Cu Kα).
No peak broadening, texture or thermal motion is included.

Main lines, most intense first (2θ from 15° to 90°):
2theta	I/Imax	hkl
34.9	100	1 3 1
31.8	58	1 3 -1
27.8	51	0 0 2
36.2	44	2 0 -2
30.2	37	1 3 0
30.6	34	2 0 0
49.4	31	1 3 -3
53.0	29	3 3 -1

Structural model:
```
data_K2Pr2GeO6
_cell_length_a 6.023
_cell_length_b 10.272
_cell_length_c 6.618
_cell_angle_alpha 90.00
_cell_angle_beta 103.89
_cell_angle_gamma 90.00
_space_group_name_H-M_alt 'C 1 2/m 1'
_space_group_IT_number 12
loop_
_space_group_symop_operation_xyz
'x,y,z'
'-x,-y,-z'
'-x,y,-z'
'x,-y,z'
'x+1/2,y+1/2,z'
'-x+1/2,-y+1/2,-z'
'-x+1/2,y+1/2,-z'
'x+1/2,-y+1/2,z'
loop_
_atom_site_label
_atom_site_type_symbol
_atom_site_fract_x
_atom_site_fract_y
_atom_site_fract_z
_atom_site_occupancy
K1 K 0.000 0.153 0.000 1
Pr1 Pr 0.000 0.335 0.500 1
Ge1 Ge 0.000 0.000 0.500 1
O1 O 0.186 0.145 0.668 1
O2 O 0.223 0.000 0.330 1
```

=====

Diffraction record for LaPrSm3Dy. The X-ray diffraction stick pattern is computed, not measured: it uses a DFT-relaxed cell (GGA-PBE, Alexandria) and λ = 1.5418 Å (Cu Kα).
No peak broadening, texture or thermal motion is included.

Main lines, most intense first (2θ from 15° to 90°):
2theta	I/Imax	hkl
30.9	100	0 2 0
29.5	74	5 1 -1
29.7	70	5 1 1
32.8	70	3 1 2
32.5	64	3 1 -2
34.4	57	7 1 0
30.1	36	1 1 2
30.8	26	4 0 -2

Structural model:
```
data_LaPrSm3Dy
_cell_length_a 20.455
_cell_length_b 5.794
_cell_length_c 7.007
_cell_angle_alpha 90.00
_cell_angle_beta 90.71
_cell_angle_gamma 90.00
_space_group_name_H-M_alt 'C 1 2/m 1'
_space_group_IT_number 12
loop_
_space_group_symop_operation_xyz
'x,y,z'
'-x,-y,-z'
'-x,y,-z'
'x,-y,z'
'x+1/2,y+1/2,z'
'-x+1/2,-y+1/2,-z'
'-x+1/2,y+1/2,-z'
'x+1/2,-y+1/2,z'
loop_
_atom_site_label
_atom_site_type_symbol
_atom_site_fract_x
_atom_site_fract_y
_atom_site_fract_z
_atom_site_occupancy
La1 La 0.146 0.000 0.027 1
Pr1 Pr 0.055 0.500 0.262 1
Sm1 Sm 0.020 0.000 0.744 1
Sm2 Sm 0.164 0.500 0.735 1
Sm3 Sm 0.220 0.500 0.250 1
Dy1 Dy 0.147 0.000 0.468 1
```

=====

Diffraction record for PaSi7Ru3. The X-ray diffraction stick pattern is computed, not measured: it uses a DFT-relaxed cell (GGA-PBE, Alexandria) and λ = 1.5418 Å (Cu Kα).
No peak broadening, texture or thermal motion is included.

Main lines, most intense first (2θ from 15° to 90°):
2theta	I/Imax	hkl
35.8	100	1 1 6
26.9	93	1 1 3
16.1	84	0 1 2
40.9	79	3 0 0
40.4	62	2 1 4
47.4	43	1 1 9
49.7	40	2 2 3
32.5	39	0 2 4

Structural model:
```
data_PaSi7Ru3
_cell_length_a 7.6369
_cell_length_b 7.6369
_cell_length_c 19.9618
_cell_angle_alpha 90.00
_cell_angle_beta 90.00
_cell_angle_gamma 120.00
_space_group_name_H-M_alt 'R -3 c'
_space_group_IT_number 167
_space_group_name_Hall '-R 3 2"c'
loop_
_atom_site_label
_atom_site_type_symbol
_atom_site_fract_x
_atom_site_fract_y
_atom_site_fract_z
_atom_site_occupancy
Pa1 Pa 0.0000 0.0000 0.0000 1
Si1 Si 0.0000 0.0000 0.2500 1
Si2 Si 0.0082 0.2024 0.1379 1
Ru1 Ru 0.0000 0.3273 0.2500 1
```